Starting from DFT lattice parameters and positions (GGA+U), the powder X-ray diffraction pattern of Na3WF7 was simulated for λ = 1.5418 Å (Cu Kα).
Intensities are scaled so that the largest is 1000.

Largest 10 diffraction maxima, low angle first, 15° ≤ 2θ ≤ 90°:
2θ/deg, I/Imax
17.17, 489
17.89, 1000
18.61, 764
22.30, 213
23.36, 222
28.25, 819
30.01, 505
38.75, 159
47.10, 246
49.50, 209

Structure:
Cell: 5.519 5.519 6.229 Å, 112.73 112.73 92.51°
Sites, in units of the cell vectors:
Na (0.000, 0.000, 0.000)
Na (0.299, 0.758, 0.576)
Na (0.758, 0.299, 0.576)
W (0.480, 0.480, 0.041)
F (0.152, 0.152, 0.764)
F (0.168, 0.629, 0.848)
F (0.358, 0.358, 0.271)
F (0.515, 0.849, 0.321)
F (0.629, 0.168, 0.848)
F (0.659, 0.659, 0.884)
F (0.849, 0.515, 0.321)